Calculated powder diffraction line list
Compound: Mg12Tl2Pb7
Radiation: Cu Ka
Structure: a DFT-relaxed cell (PBE, Alexandria)
Neutral-atom scattering factors, no anomalous dispersion.

Main lines, in order of falling intensity (2θ from 5° to 70°):
Position (°2θ), I_rel
22.29, 100
30.21, 97
26.34, 77
39.12, 72
57.90, 47
24.92, 46

Structural model:
Lattice parameters (Å, degrees): 12.1856 12.1856 4.4106 90.00 90.00 120.00
Sites, in units of the cell vectors:
Mg 0.0422 0.2752 0.0000
Mg 0.1080 0.7119 0.5000
Mg 0.2330 0.9578 0.0000
Mg 0.2881 0.3961 0.5000
Mg 0.3916 0.1782 0.5000
Mg 0.5342 0.4259 0.0000
Mg 0.5741 0.1083 0.0000
Mg 0.6039 0.8920 0.5000
Mg 0.7248 0.7670 0.0000
Mg 0.7866 0.6084 0.5000
Mg 0.8218 0.2134 0.5000
Mg 0.8917 0.4658 0.0000
Tl 0.0000 0.0000 0.5000
Tl 0.3333 0.6667 0.0000
Pb 0.0783 0.4580 0.5000
Pb 0.2470 0.2117 0.0000
Pb 0.3797 0.9217 0.5000
Pb 0.5420 0.6203 0.5000
Pb 0.6667 0.3333 0.5000
Pb 0.7883 0.0353 0.0000
Pb 0.9647 0.7530 0.0000

---

Calculated powder diffraction line list
Compound: GaPd2AuF
Radiation: Cu Ka
Structure: a DFT-relaxed cell (PBE, Alexandria)
Neutral-atom scattering factors, no anomalous dispersion.

Main lines, in order of falling intensity (2θ from 5° to 70°):
Position (°2θ), I_rel
35.22, 100
37.70, 82
29.64, 76
48.67, 40
61.55, 38
66.45, 31

Structural model:
Lattice parameters (Å, degrees): 4.7727 4.7727 3.8862 90.00 90.00 90.00
Sites, in units of the cell vectors:
Ga 0.0000 0.0000 0.0000
Pd 0.0000 0.5000 0.0000
Pd 0.5000 0.0000 0.0000
Au 0.5000 0.5000 0.5000
F 0.0000 0.0000 0.5000

---

Calculated powder diffraction line list
Compound: BaLi2Cd4
Radiation: Cu Ka
Structure: a DFT-relaxed cell (PBE, Alexandria)
Neutral-atom scattering factors, no anomalous dispersion.

Main lines, in order of falling intensity (2θ from 5° to 70°):
Position (°2θ), I_rel
28.10, 100
31.94, 58
35.46, 43
8.59, 36
36.11, 30
40.65, 25

Structural model:
Lattice parameters (Å, degrees): 3.5914 4.9745 20.5769 90.00 90.00 90.00
Sites, in units of the cell vectors:
Ba 0.0000 0.0000 0.0000
Ba 0.5000 0.5000 0.5000
Li 0.0000 0.5000 0.1989
Li 0.0000 0.5000 0.8011
Li 0.5000 0.0000 0.3011
Li 0.5000 0.0000 0.6989
Cd 0.0000 0.0000 0.4142
Cd 0.0000 0.0000 0.5858
Cd 0.0000 0.5000 0.3362
Cd 0.0000 0.5000 0.6638
Cd 0.5000 0.0000 0.1638
Cd 0.5000 0.0000 0.8362
Cd 0.5000 0.5000 0.0858
Cd 0.5000 0.5000 0.9142

---

Calculated powder diffraction line list
Compound: SmHo5Sc
Radiation: Cu Ka
Structure: a DFT-relaxed cell (PBE, Alexandria)
Neutral-atom scattering factors, no anomalous dispersion.

Main lines, in order of falling intensity (2θ from 5° to 70°):
Position (°2θ), I_rel
32.20, 100
31.24, 98
32.32, 89
32.51, 72
31.99, 56
33.20, 55

Structural model:
Lattice parameters (Å, degrees): 9.1657 3.5479 13.6244 90.00 102.69 90.00
Sites, in units of the cell vectors:
Sm 0.1123 0.2500 0.1348
Sm 0.8877 0.7500 0.8652
Ho 0.0077 0.7500 0.3712
Ho 0.2023 0.2500 0.8837
Ho 0.3300 0.2500 0.5070
Ho 0.3489 0.7500 0.7214
Ho 0.4179 0.7500 0.0827
Ho 0.5821 0.2500 0.9173
Ho 0.6511 0.2500 0.2786
Ho 0.6700 0.7500 0.4930
Ho 0.7977 0.7500 0.1163
Ho 0.9923 0.2500 0.6288
Sc 0.3511 0.7500 0.3074
Sc 0.6489 0.2500 0.6926

---

Calculated powder diffraction line list
Compound: RbNaHg6
Radiation: Cu Ka
Structure: a DFT-relaxed cell (PBE, Alexandria)
Neutral-atom scattering factors, no anomalous dispersion.

Main lines, in order of falling intensity (2θ from 5° to 70°):
Position (°2θ), I_rel
32.97, 100
28.16, 25
33.98, 22
60.17, 18
21.92, 16
44.69, 15

Structural model:
Lattice parameters (Å, degrees): 5.2761 7.3347 12.6505 90.00 90.00 90.00
Sites, in units of the cell vectors:
Rb 0.0000 0.0000 0.0000
Rb 0.0000 0.5000 0.5000
Na 0.5000 0.0000 0.6706
Na 0.5000 0.5000 0.1706
Hg 0.0000 0.0000 0.5104
Hg 0.0000 0.2410 0.7473
Hg 0.0000 0.2590 0.2473
Hg 0.0000 0.5000 0.0104
Hg 0.0000 0.7410 0.2473
Hg 0.0000 0.7590 0.7473
Hg 0.5000 0.0000 0.1862
Hg 0.5000 0.2200 0.4093
Hg 0.5000 0.2800 0.9093
Hg 0.5000 0.5000 0.6862
Hg 0.5000 0.7200 0.9093
Hg 0.5000 0.7800 0.4093

---

Calculated powder diffraction line list
Compound: Li2InHg6
Radiation: Cu Ka
Structure: a DFT-relaxed cell (PBE, Alexandria)
Neutral-atom scattering factors, no anomalous dispersion.

Main lines, in order of falling intensity (2θ from 5° to 70°):
Position (°2θ), I_rel
34.70, 100
30.17, 60
26.98, 50
36.07, 42
39.76, 36
39.42, 35

Structural model:
Lattice parameters (Å, degrees): 8.2196 8.2196 6.5576 94.07 94.07 74.59
Sites, in units of the cell vectors:
Li 0.0344 0.2949 0.4131
Li 0.2949 0.0344 0.9131
Li 0.7051 0.9656 0.0869
Li 0.9656 0.7051 0.5869
In 0.3820 0.6180 0.7500
In 0.6180 0.3820 0.2500
Hg 0.0632 0.8135 0.9918
Hg 0.1473 0.3897 0.8305
Hg 0.1865 0.9368 0.5082
Hg 0.2341 0.5333 0.3232
Hg 0.3897 0.1473 0.3305
Hg 0.4667 0.7659 0.1768
Hg 0.5333 0.2341 0.8232
Hg 0.6103 0.8527 0.6695
Hg 0.7659 0.4667 0.6768
Hg 0.8135 0.0632 0.4918
Hg 0.8527 0.6103 0.1695
Hg 0.9368 0.1865 0.0082

---

Calculated powder diffraction line list
Compound: CeDyH8Rh2
Radiation: Cu Ka
Structure: a DFT-relaxed cell (PBE, Alexandria)
Neutral-atom scattering factors, no anomalous dispersion.

Main lines, in order of falling intensity (2θ from 5° to 70°):
Position (°2θ), I_rel
29.23, 100
36.96, 57
47.80, 26
46.23, 24
61.92, 24
60.61, 10

Structural model:
Lattice parameters (Å, degrees): 6.5518 6.5518 6.5518 43.58 43.58 43.58
Sites, in units of the cell vectors:
Ce 0.0000 0.0000 0.0000
Dy 0.5000 0.5000 0.5000
H 0.0464 0.8911 0.3859
H 0.1089 0.6141 0.9536
H 0.3262 0.3262 0.3262
H 0.3859 0.0464 0.8911
H 0.6141 0.9536 0.1089
H 0.6738 0.6738 0.6738
H 0.8911 0.3859 0.0464
H 0.9536 0.1089 0.6141
Rh 0.2350 0.2350 0.2350
Rh 0.7650 0.7650 0.7650

---

Calculated powder diffraction line list
Compound: Tl7SbS6
Radiation: Cu Ka
Structure: a DFT-relaxed cell (PBE, Alexandria)
Neutral-atom scattering factors, no anomalous dispersion.

Main lines, in order of falling intensity (2θ from 5° to 70°):
Position (°2θ), I_rel
24.03, 100
30.03, 96
30.60, 96
24.28, 88
23.13, 51
40.34, 42

Structural model:
Lattice parameters (Å, degrees): 11.7815 11.7815 11.7815 141.25 112.56 80.59
Sites, in units of the cell vectors:
Tl 0.0637 0.0439 0.3332
Tl 0.0774 0.6716 0.7491
Tl 0.2107 0.5439 0.9802
Tl 0.2500 0.2500 0.0000
Tl 0.2893 0.2694 0.3332
Tl 0.4226 0.1716 0.5942
Tl 0.4363 0.7694 0.9802
Tl 0.5637 0.2306 0.0198
Tl 0.5774 0.8284 0.4058
Tl 0.7107 0.7306 0.6668
Tl 0.7500 0.7500 0.0000
Tl 0.7893 0.4561 0.0198
Tl 0.9226 0.3284 0.2509
Tl 0.9363 0.9561 0.6668
Sb 0.2500 0.7500 0.5000
Sb 0.7500 0.2500 0.5000
S 0.0714 0.4950 0.2146
S 0.2196 0.0050 0.5764
S 0.2456 0.4045 0.6500
S 0.2544 0.9045 0.1589
S 0.2804 0.8568 0.7854
S 0.4286 0.6432 0.4236
S 0.5714 0.3568 0.5764
S 0.7196 0.1432 0.2146
S 0.7456 0.0955 0.8411
S 0.7544 0.5955 0.3500
S 0.7804 0.9950 0.4236
S 0.9286 0.5050 0.7854

---

Calculated powder diffraction line list
Compound: Er5TcSb2
Radiation: Cu Ka
Structure: a DFT-relaxed cell (PBE, Alexandria)
Neutral-atom scattering factors, no anomalous dispersion.

Main lines, in order of falling intensity (2θ from 5° to 70°):
Position (°2θ), I_rel
30.16, 100
17.03, 94
38.67, 91
32.37, 83
44.83, 70
11.47, 64

Structural model:
Lattice parameters (Å, degrees): 8.1927 8.1927 13.8888 90.00 90.00 140.54
Sites, in units of the cell vectors:
Er 0.0526 0.9474 0.6196
Er 0.0526 0.9474 0.8804
Er 0.2810 0.7190 0.5986
Er 0.2810 0.7190 0.9014
Er 0.2935 0.7065 0.2500
Er 0.7065 0.2935 0.7500
Er 0.7190 0.2810 0.0986
Er 0.7190 0.2810 0.4014
Er 0.9474 0.0526 0.1196
Er 0.9474 0.0526 0.3804
Tc 0.1729 0.8271 0.7500
Tc 0.8271 0.1729 0.2500
Sb 0.1449 0.8551 0.0764
Sb 0.1449 0.8551 0.4236
Sb 0.8551 0.1449 0.5764
Sb 0.8551 0.1449 0.9236

---

Calculated powder diffraction line list
Compound: KTmIn4O8
Radiation: Cu Ka
Structure: a DFT-relaxed cell (PBE, Alexandria)
Neutral-atom scattering factors, no anomalous dispersion.

Main lines, in order of falling intensity (2θ from 5° to 70°):
Position (°2θ), I_rel
31.24, 100
54.68, 43
49.91, 41
16.17, 36
32.67, 34
37.90, 25

Structural model:
Lattice parameters (Å, degrees): 6.7143 6.7143 6.7143 59.99 59.99 59.99
Sites, in units of the cell vectors:
K 0.0000 0.0000 0.0000
Tm 0.3732 0.3732 0.3732
In 0.3728 0.3728 0.8882
In 0.3728 0.8882 0.3728
In 0.7547 0.7547 0.7547
In 0.8882 0.3728 0.3728
O 0.1457 0.1457 0.1457
O 0.1466 0.1466 0.5671
O 0.1466 0.5671 0.1466
O 0.1502 0.6211 0.6211
O 0.5671 0.1466 0.1466
O 0.6181 0.6181 0.6181
O 0.6211 0.1502 0.6211
O 0.6211 0.6211 0.1502

---

Calculated powder diffraction line list
Compound: SmNi4Sn2
Radiation: Cu Ka
Structure: a DFT-relaxed cell (PBE, Alexandria)
Neutral-atom scattering factors, no anomalous dispersion.

Main lines, in order of falling intensity (2θ from 5° to 70°):
Position (°2θ), I_rel
43.18, 100
37.00, 95
32.45, 40
27.85, 31
50.36, 16
28.31, 15

Structural model:
Lattice parameters (Å, degrees): 6.7258 6.7258 6.7258 110.35 110.35 107.73
Sites, in units of the cell vectors:
Sm 0.2500 0.2500 0.0000
Sm 0.7500 0.7500 0.0000
Ni 0.0264 0.5264 0.2223
Ni 0.1958 0.9736 0.5000
Ni 0.3042 0.8042 0.7777
Ni 0.4736 0.6958 0.5000
Ni 0.5264 0.3042 0.5000
Ni 0.6958 0.1958 0.2223
Ni 0.8042 0.0264 0.5000
Ni 0.9736 0.4736 0.7777
Sn 0.1597 0.3403 0.5000
Sn 0.3403 0.8403 0.1806
Sn 0.6597 0.1597 0.8194
Sn 0.8403 0.6597 0.5000

---

Calculated powder diffraction line list
Compound: Be2Al
Radiation: Cu Ka
Structure: a DFT-relaxed cell (PBE, Alexandria)
Neutral-atom scattering factors, no anomalous dispersion.

Main lines, in order of falling intensity (2θ from 5° to 70°):
Position (°2θ), I_rel
40.69, 100
43.78, 100
47.89, 98
23.94, 47
38.53, 38
49.02, 34

Structural model:
Lattice parameters (Å, degrees): 4.4351 4.4351 14.7224 90.00 90.00 120.00
Sites, in units of the cell vectors:
Be 0.0000 0.5000 0.0000
Be 0.0000 0.5000 0.5000
Be 0.1668 0.3335 0.2500
Be 0.1668 0.8332 0.2500
Be 0.3333 0.6667 0.1233
Be 0.3333 0.6667 0.3767
Be 0.3335 0.1668 0.7500
Be 0.5000 0.0000 0.0000
Be 0.5000 0.0000 0.5000
Be 0.5000 0.5000 0.0000
Be 0.5000 0.5000 0.5000
Be 0.6665 0.8332 0.2500
Be 0.6667 0.3333 0.6233
Be 0.6667 0.3333 0.8767
Be 0.8332 0.1668 0.7500
Be 0.8332 0.6665 0.7500
Al 0.0000 0.0000 0.0922
Al 0.0000 0.0000 0.4078
Al 0.0000 0.0000 0.5922
Al 0.0000 0.0000 0.9078
Al 0.3333 0.6667 0.6579
Al 0.3333 0.6667 0.8421
Al 0.6667 0.3333 0.1579
Al 0.6667 0.3333 0.3421

---

What did the first record say?
Calculated powder diffraction line list
Compound: Mg12Tl2Pb7
Radiation: Cu Ka
Structure: a DFT-relaxed cell (PBE, Alexandria)
Neutral-atom scattering factors, no anomalous dispersion.

Main lines, in order of falling intensity (2θ from 5° to 70°):
Position (°2θ), I_rel
22.29, 100
30.21, 97
26.34, 77
39.12, 72
57.90, 47
24.92, 46

Structural model:
Lattice parameters (Å, degrees): 12.1856 12.1856 4.4106 90.00 90.00 120.00
Sites, in units of the cell vectors:
Mg 0.0422 0.2752 0.0000
Mg 0.1080 0.7119 0.5000
Mg 0.2330 0.9578 0.0000
Mg 0.2881 0.3961 0.5000
Mg 0.3916 0.1782 0.5000
Mg 0.5342 0.4259 0.0000
Mg 0.5741 0.1083 0.0000
Mg 0.6039 0.8920 0.5000
Mg 0.7248 0.7670 0.0000
Mg 0.7866 0.6084 0.5000
Mg 0.8218 0.2134 0.5000
Mg 0.8917 0.4658 0.0000
Tl 0.0000 0.0000 0.5000
Tl 0.3333 0.6667 0.0000
Pb 0.0783 0.4580 0.5000
Pb 0.2470 0.2117 0.0000
Pb 0.3797 0.9217 0.5000
Pb 0.5420 0.6203 0.5000
Pb 0.6667 0.3333 0.5000
Pb 0.7883 0.0353 0.0000
Pb 0.9647 0.7530 0.0000